# 1
Simulated powder XRD pattern of AcNd2HfO6 for CuKα, from a structure optimized by DFT (GGA-PBE).

The 10 most intense peaks (2θ from 5° to 70°), sorted by position:
two_theta  I/Imax  hkl
15.6  11.4  0 0 1
27.5  100.0  1 1 1
31.5  10.9  0 0 2
32.0  35.1  2 0 0
39.0  10.0  1 1 2
45.5  24.7  2 0 2
45.8  18.4  2 2 0
53.6  8.5  1 1 3
54.3  31.1  3 1 1
56.7  9.0  2 2 2

Atomic structure:
Unit cell a=5.599 b=5.599 c=5.684 alpha=90.00 beta=90.00 gamma=90.00
Space group P4mm (No. 99)
Asymmetric unit:
Ac  0.000  0.000  0.000 x1
Nd  0.000  0.500  0.454 x2
Hf  0.500  0.500  0.069 x1
O  0.000  0.000  0.589 x1
O  0.266  0.266  0.225 x4
O  0.500  0.500  0.722 x1


# 2
Simulated powder XRD pattern of Ac4Hf6O19 for CuKα, from a structure optimized by DFT (GGA-PBE).

The 10 most intense peaks (2θ from 5° to 70°), sorted by position:
two_theta  I/Imax  hkl
23.1  72.6  2 1 1
29.9  100.0  3 1 0
32.8  21.1  2 2 2
35.6  60.8  3 2 1
40.5  31.6  3 3 0
47.1  25.2  4 2 2
49.2  33.0  4 1 3
53.1  20.0  5 2 1
58.6  32.5  6 0 0
67.2  20.5  6 3 1

Atomic structure:
Unit cell a=9.447 b=9.447 c=9.447 alpha=90.00 beta=90.00 gamma=90.00
Space group I23 (No. 197)
Asymmetric unit:
Ac  0.160  0.160  0.840 x8
Hf  0.000  0.330  0.500 x12
O  0.000  0.000  0.000 x2
O  0.000  0.000  0.356 x12
O  0.043  0.319  0.286 x24


# 3
Simulated powder XRD pattern of AcHf2O5 for CuKα, from a structure optimized by DFT (GGA-PBE).

The 10 most intense peaks (2θ from 5° to 70°), sorted by position:
two_theta  I/Imax  hkl
21.2  60.6  0 2 1
27.0  38.9  0 3 1
28.1  40.7  1 0 1
29.1  100.0  1 1 1
31.7  35.7  0 1 2
32.5  76.7  1 3 0
33.5  49.9  0 4 1
42.0  23.8  1 2 2
49.8  39.2  1 4 2
53.1  38.6  1 0 3

Atomic structure:
Unit cell a=3.786 b=12.048 c=5.810 alpha=90.00 beta=90.00 gamma=90.00
Space group Pmmn (No. 59, origin choice 2)
Asymmetric unit:
Ac  0.250  0.250  0.080 x2
Hf  0.250  0.607  0.412 x4
O  0.250  0.071  0.452 x4
O  0.250  0.628  0.083 x4
O  0.250  0.750  0.612 x2


# 4
Simulated powder XRD pattern of Ac2Hf2O7 for CuKα, from a structure optimized by DFT (GGA-PBE).

The 9 most intense peaks (2θ from 5° to 70°), sorted by position:
two_theta  I/Imax  hkl
13.9  0.8  1 1 1
28.1  100.0  2 2 2
32.6  39.6  4 0 0
35.6  2.0  3 3 1
42.7  0.8  5 1 1
46.7  44.9  4 4 0
55.4  46.7  6 2 2
58.1  12.2  4 4 4
68.2  7.0  8 0 0

Atomic structure:
Unit cell a=11.002 b=11.002 c=11.002 alpha=90.00 beta=90.00 gamma=90.00
Space group Fd-3m (No. 227, origin choice 2)
Asymmetric unit:
Ac  0.000  0.000  0.000 x16
Hf  0.000  0.000  0.500 x16
O  0.076  0.375  0.875 x48
O  0.125  0.125  0.125 x8


# 5
Simulated powder XRD pattern of AcHfPO2 for CuKα, from a structure optimized by DFT (GGA-PBE).

The 10 most intense peaks (2θ from 5° to 70°), sorted by position:
two_theta  I/Imax  hkl
15.2  16.7  0 0 1
26.7  100.0  1 0 1
30.7  11.8  0 0 2
31.0  42.7  1 1 0
37.9  27.5  1 0 2
44.2  20.2  1 1 2
44.4  21.8  2 0 0
52.6  32.3  2 1 1
57.2  10.5  1 1 3
59.8  14.8  2 1 2

Atomic structure:
Unit cell a=4.080 b=4.080 c=5.827 alpha=90.00 beta=90.00 gamma=90.00
Space group P4mm (No. 99)
Asymmetric unit:
Ac  0.000  0.000  0.000 x1
Hf  0.500  0.500  0.387 x1
P  0.500  0.500  0.812 x1
O  0.000  0.500  0.294 x2


# 6
Simulated powder XRD pattern of AcPuHfO6 for CuKα, from a structure optimized by DFT (GGA-PBE).

The 10 most intense peaks (2θ from 5° to 70°), sorted by position:
two_theta  I/Imax  hkl
16.9  10.4  0 0 2
24.8  100.0  1 0 2
31.6  50.3  1 1 0
34.1  11.8  0 0 4
40.6  27.0  2 0 2
47.2  45.0  1 1 4
52.3  27.3  2 1 2
55.8  10.9  1 0 6
56.3  14.8  3 0 0
67.5  11.6  3 0 4

Atomic structure:
Unit cell a=5.6627 b=5.6627 c=10.5025 alpha=90.00 beta=90.00 gamma=120.00
Space group P-31c (No. 163)
Asymmetric unit:
Ac  0.0000  0.0000  0.0000 x2
Pu  0.3333  0.6667  0.2500 x2
Hf  0.3333  0.6667  0.7500 x2
O  0.0062  0.3697  0.6432 x12


# 7
Simulated powder XRD pattern of AcHfS2O for CuKα, from a structure optimized by DFT (GGA-PBE).

The 10 most intense peaks (2θ from 5° to 70°), sorted by position:
two_theta  I/Imax  hkl
12.9  15.0  0 0 2
26.0  21.0  0 0 4
26.3  100.0  1 0 2
32.5  51.9  1 1 0
34.9  21.2  1 0 4
42.1  29.5  1 1 4
46.1  12.6  1 0 6
46.6  21.8  2 0 0
52.0  19.5  1 1 6
54.3  29.0  2 1 2

Atomic structure:
Unit cell a=3.897 b=3.897 c=13.688 alpha=90.00 beta=90.00 gamma=90.00
Space group P4/nmm (No. 129, origin choice 2)
Asymmetric unit:
Ac  0.250  0.250  0.104 x2
Hf  0.250  0.250  0.597 x2
S  0.250  0.250  0.404 x2
S  0.250  0.250  0.773 x2
O  0.250  0.750  0.000 x2


# 8
Simulated powder XRD pattern of AcHfSO2 for CuKα, from a structure optimized by DFT (GGA-PBE).

The 10 most intense peaks (2θ from 5° to 70°), sorted by position:
two_theta  I/Imax  hkl
17.0  28.2  0 0 1
27.2  100.0  1 0 1
29.9  58.8  1 1 0
34.6  15.5  1 1 1
40.6  43.2  1 0 2
42.8  30.4  2 0 0
46.2  12.6  1 1 2
51.5  36.3  2 1 1
60.5  27.0  2 1 2
61.7  11.9  1 1 3

Atomic structure:
Unit cell a=4.222 b=4.222 c=5.225 alpha=90.00 beta=90.00 gamma=90.00
Space group P4mm (No. 99)
Asymmetric unit:
Ac  0.000  0.000  0.000 x1
Hf  0.500  0.500  0.343 x1
S  0.500  0.500  0.830 x1
O  0.000  0.500  0.306 x2


# 9
Simulated powder XRD pattern of AcHf2SbO8 for CuKα, from a structure optimized by DFT (GGA-PBE).

The 10 most intense peaks (2θ from 5° to 70°), sorted by position:
two_theta  I/Imax  hkl
24.9  57.0  1 0 -1
25.8  50.5  1 0 1
31.8  100.0  1 2 0
36.1  29.9  0 0 2
48.4  39.9  2 2 -1
49.4  35.3  2 2 1
59.3  9.4  3 0 1
60.6  10.0  1 4 1
62.2  21.0  0 2 3
66.5  12.1  0 4 2

Atomic structure:
Unit cell a=4.979 b=6.815 c=4.981 alpha=90.00 beta=92.00 gamma=90.00
Space group P2/m (No. 10)
Asymmetric unit:
Ac  0.000  0.000  0.000 x1
Hf  0.500  0.256  0.500 x2
Sb  0.000  0.500  0.000 x1
O  0.205  0.293  0.204 x4
O  0.294  0.500  0.705 x2
O  0.332  0.000  0.666 x2


# 10
Simulated powder XRD pattern of AcHf2SnO8 for CuKα, from a structure optimized by DFT (GGA-PBE).

The 10 most intense peaks (2θ from 5° to 70°), sorted by position:
two_theta  I/Imax  hkl
24.9  57.8  0 2 0
25.5  51.5  2 0 0
31.5  100.0  1 1 2
36.0  30.8  2 2 0
48.2  40.5  1 3 2
48.9  35.7  3 1 2
58.9  10.0  4 2 0
59.7  9.7  2 0 4
61.9  21.6  3 3 2
65.7  11.2  2 2 4

Atomic structure:
Unit cell a=6.974 b=7.154 c=6.917 alpha=90.00 beta=90.00 gamma=90.00
Space group Cmmm (No. 65)
Asymmetric unit:
Ac  0.000  0.000  0.000 x2
Hf  0.000  0.500  0.268 x4
Sn  0.000  0.000  0.500 x2
O  0.000  0.307  0.500 x4
O  0.000  0.338  0.000 x4
O  0.207  0.000  0.286 x8


# 11
Simulated powder XRD pattern of Ac2TmHfO6 for CuKα, from a structure optimized by DFT (GGA-PBE).

The 10 most intense peaks (2θ from 5° to 70°), sorted by position:
two_theta  I/Imax  hkl
29.8  100.0  1 1 1
29.9  69.2  1 1 -3
30.0  36.4  2 0 -2
42.7  46.4  0 0 4
49.2  9.4  1 3 -2
52.9  32.9  0 2 4
53.1  24.1  3 1 -1
53.2  16.3  3 1 -5
62.0  9.0  2 2 2
62.1  9.0  2 2 -6

Atomic structure:
Unit cell a=5.953 b=6.006 c=10.345 alpha=90.00 beta=125.00 gamma=90.00
Space group P2_1/c (No. 14)
Asymmetric unit:
Ac  0.247  0.050  0.248 x4
Tm  0.500  0.000  0.000 x2
Hf  0.000  0.000  0.500 x2
O  0.142  0.203  0.957 x4
O  0.257  0.690  0.958 x4
O  0.326  0.027  0.744 x4